No. 1
Structure and theoretical powder X-ray diffraction pattern of Ba3Co8Sn3O20 (DFT lattice parameters and positions (GGA+U); Cu Ka).
Peak positions follow from Bragg's law for the DFT cell and can differ from measured ones.

Atomic structure:
```
data_Ba3Co8Sn3O20
_chemical_formula_sum 'Ba6 Co16 Sn6 O40'
_cell_length_a 16.463
_cell_length_b 12.085
_cell_length_c 5.326
_cell_angle_alpha 90.00
_cell_angle_beta 107.79
_cell_angle_gamma 90.00
_space_group_name_H-M_alt 'C 1 2/m 1'
_space_group_IT_number 12
loop_
_space_group_symop_operation_xyz
'x,y,z'
'-x,-y,-z'
'-x,y,-z'
'x,-y,z'
'x+1/2,y+1/2,z'
'-x+1/2,-y+1/2,-z'
'-x+1/2,y+1/2,-z'
'x+1/2,-y+1/2,z'
loop_
_atom_site_label
_atom_site_type_symbol
_atom_site_fract_x
_atom_site_fract_y
_atom_site_fract_z
_atom_site_occupancy
Ba1 Ba 0.000 0.000 0.000 1
Ba2 Ba 0.226 0.500 0.730 1
Co1 Co 0.144 0.278 0.163 1
Co2 Co 0.145 0.132 0.660 1
Sn1 Sn 0.000 0.356 0.500 1
Sn2 Sn 0.000 0.500 0.000 1
O1 O 0.066 0.500 0.398 1
O2 O 0.074 0.379 0.891 1
O3 O 0.085 0.248 0.425 1
O4 O 0.094 0.000 0.517 1
O5 O 0.144 0.138 0.012 1
O6 O 0.241 0.362 0.322 1
```

Principal peaks in the range 10 to 90 degrees two-theta, low angle first:
27.12 deg, 3.288 Å, rel. 75, hkl 4 2 0; 27.93 deg, 3.194 Å, rel. 100, hkl 2 2 1; 28.31 deg, 3.152 Å, rel. 60, hkl 4 2 -1; 29.48 deg, 3.030 Å, rel. 64, hkl 5 1 -1; 29.94 deg, 2.985 Å, rel. 51, hkl 1 3 1; 33.66 deg, 2.663 Å, rel. 73, hkl 2 0 -2

---

No. 2
Structure and theoretical powder X-ray diffraction pattern of MnVSbO6 (DFT lattice parameters and positions (GGA+U); Cu Ka).
Peak positions follow from Bragg's law for the DFT cell and can differ from measured ones.

Atomic structure:
```
data_MnVSbO6
_chemical_formula_sum 'Mn4 V4 Sb4 O24'
_cell_length_a 4.736
_cell_length_b 17.456
_cell_length_c 5.034
_cell_angle_alpha 90.00
_cell_angle_beta 90.00
_cell_angle_gamma 90.00
_space_group_name_H-M_alt 'P b c n'
_space_group_IT_number 60
loop_
_space_group_symop_operation_xyz
'x,y,z'
'-x,-y,-z'
'-x+1/2,-y+1/2,z+1/2'
'x+1/2,y+1/2,-z+1/2'
'x+1/2,-y+1/2,-z'
'-x+1/2,y+1/2,z'
'-x,y,-z+1/2'
'x,-y,z+1/2'
loop_
_atom_site_label
_atom_site_type_symbol
_atom_site_fract_x
_atom_site_fract_y
_atom_site_fract_z
_atom_site_occupancy
Mn1 Mn 0.000 0.058 0.250 1
V1 V 0.000 0.397 0.250 1
Sb1 Sb 0.000 0.281 0.750 1
O1 O 0.204 0.366 0.558 1
O2 O 0.244 0.295 0.076 1
O3 O 0.249 0.043 0.612 1
```

Principal peaks in the range 10 to 90 degrees two-theta, low angle first:
10.13 deg, 8.728 Å, rel. 27, hkl 0 2 0; 24.23 deg, 3.673 Å, rel. 33, hkl 1 3 0; 26.34 deg, 3.384 Å, rel. 18, hkl 1 1 1; 30.12 deg, 2.967 Å, rel. 100, hkl 1 3 1; 35.66 deg, 2.518 Å, rel. 30, hkl 0 0 2; 53.09 deg, 1.725 Å, rel. 44, hkl 2 0 2

---

No. 3
Structure and theoretical powder X-ray diffraction pattern of Li2CoSiO4 (DFT lattice parameters and positions (GGA+U); Cu Ka).
Peak positions follow from Bragg's law for the DFT cell and can differ from measured ones.

Atomic structure:
```
data_Li2CoSiO4
_chemical_formula_sum 'Li8 Co4 Si4 O16'
_cell_length_a 10.789
_cell_length_b 6.318
_cell_length_c 5.014
_cell_angle_alpha 90.00
_cell_angle_beta 90.00
_cell_angle_gamma 90.00
_space_group_name_H-M_alt 'P n a 21'
_space_group_IT_number 33
loop_
_space_group_symop_operation_xyz
'x,y,z'
'-x,-y,z+1/2'
'-x+1/2,y+1/2,z+1/2'
'x+1/2,-y+1/2,z'
loop_
_atom_site_label
_atom_site_type_symbol
_atom_site_fract_x
_atom_site_fract_y
_atom_site_fract_z
_atom_site_occupancy
Li1 Li 0.078 0.243 0.000 1
Li2 Li 0.162 0.998 0.501 1
Co1 Co 0.164 0.492 0.504 1
Si1 Si 0.087 0.748 0.007 1
O1 O 0.058 0.247 0.401 1
O2 O 0.090 0.746 0.337 1
O3 O 0.158 0.531 0.901 1
O4 O 0.159 0.963 0.899 1
```

Principal peaks in the range 10 to 90 degrees two-theta, low angle first:
16.26 deg, 5.452 Å, rel. 46, hkl 1 1 0; 24.12 deg, 3.690 Å, rel. 100, hkl 1 1 1; 28.56 deg, 3.126 Å, rel. 45, hkl 3 1 0; 32.85 deg, 2.726 Å, rel. 60, hkl 2 2 0; 35.82 deg, 2.507 Å, rel. 55, hkl 0 0 2; 37.56 deg, 2.395 Å, rel. 50, hkl 2 2 1